This entry pairs a crystal structure of MnGaRh2 with its theoretical XRD peak list. Radiation: Cu Kα, 1.54184 Å. Structure: a crystal structure in the Materials Project, relaxed with PBE.
Intensities are scaled so that the largest is 100.

Structural model:
a = 3.054 Å, b = 3.054 Å, c = 6.048 Å
α = 90.00°, β = 90.00°, γ = 90.00°
Sites, in units of the cell vectors:
1 Mn 0.000 0.000 0.000
2 Ga 0.000 0.000 0.500
3 Rh 0.500 0.500 0.256
4 Rh 0.500 0.500 0.744

The 8 most intense peaks (2θ from 10° to 90°), sorted by position:
29.2°, rel. 7.9, hkl 1 0 0; 29.5°, rel. 3.8, hkl 0 0 2; 41.8°, rel. 50.9, hkl 1 1 0; 42.1°, rel. 100.0, hkl 1 0 2; 60.6°, rel. 16.4, hkl 2 0 0; 61.3°, rel. 7.8, hkl 0 0 4; 76.5°, rel. 32.1, hkl 2 1 2; 77.0°, rel. 15.6, hkl 1 1 4